Structure and computed XRD peak list of La4PmTe6 (the PBE geometry in Alexandria; Cu Ka).
Peak positions follow from Bragg's law for the DFT cell and can differ from measured ones.

Principal peaks in the range 10 to 80 degrees two-theta, by angle:
| 2θ/deg | I_rel |
| --- | --- |
| 24.0 | 27 |
| 28.2 | 52 |
| 29.5 | 100 |
| 31.2 | 26 |
| 31.5 | 88 |
| 32.9 | 87 |
| 36.2 | 30 |
| 37.0 | 44 |
| 42.5 | 33 |
| 63.2 | 30 |

Structural model:
Unit cell a=9.0206 b=9.0206 c=9.0206 alpha=90.98 beta=90.98 gamma=90.98
Atoms (fractional coordinates):
La1 0.1412 0.7500 0.3588
La2 0.2500 0.2500 0.2500
La3 0.2500 0.6412 0.8588
La4 0.3588 0.1412 0.7500
La5 0.6412 0.8588 0.2500
La6 0.7500 0.3588 0.1412
La7 0.7500 0.7500 0.7500
La8 0.8588 0.2500 0.6412
Pm1 0.0000 0.0000 0.0000
Pm2 0.5000 0.5000 0.5000
Te1 0.0602 0.9160 0.6753
Te2 0.0840 0.3247 0.9398
Te3 0.1753 0.4160 0.5602
Te4 0.3247 0.9398 0.0840
Te5 0.4160 0.5602 0.1753
Te6 0.4398 0.8247 0.5840
Te7 0.5602 0.1753 0.4160
Te8 0.5840 0.4398 0.8247
Te9 0.6753 0.0602 0.9160
Te10 0.8247 0.5840 0.4398
Te11 0.9160 0.6753 0.0602
Te12 0.9398 0.0840 0.3247